Diffraction record for Li4Nb2Ni3Sn3O16. The X-ray powder pattern is simulated, not measured: it uses a cell relaxed with GGA+U and copper Kα.

The 10 most intense peaks (2θ = 10–90°), by angle:
d (Å)  intensity
4.922  100
4.690  67
4.662  82
4.636  64
2.803  55
2.568  92
2.561  45
2.073  53
2.058  47
1.530  50

Cell and atoms:
```
Li4Nb2Ni3Sn3O16
1.0
5.2957 -3.0715 0.0000
5.2957 3.0715 0.0000
-0.1400 0.0000 9.8442
Li Nb Ni Sn O
4 2 3 3 16
Direct
0.0000 0.0000 0.0000 Li
0.0058 0.0058 0.4858 Li
0.3442 0.3442 0.5776 Li
0.6866 0.6866 0.0862 Li
0.3645 0.3645 0.0064 Nb
0.6883 0.6883 0.4849 Nb
0.1843 0.6733 0.2720 Ni
0.6733 0.1843 0.2720 Ni
0.8416 0.8416 0.7697 Ni
0.1838 0.1838 0.2677 Sn
0.3508 0.8452 0.7697 Sn
0.8452 0.3508 0.7697 Sn
0.0082 0.0082 0.6721 O
0.0105 0.0105 0.1840 O
0.0533 0.4913 0.1324 O
0.1738 0.1738 0.8905 O
0.1834 0.6755 0.8921 O
0.3475 0.3475 0.3748 O
0.3522 0.8459 0.3961 O
0.4913 0.0533 0.1324 O
0.4995 0.4995 0.1338 O
0.5256 0.5256 0.6430 O
0.5292 0.9701 0.6377 O
0.6755 0.1834 0.8921 O
0.6797 0.6797 0.8826 O
0.8412 0.8412 0.3929 O
0.8459 0.3522 0.3961 O
0.9701 0.5292 0.6377 O
```

Diffraction record for Ba2AlCr3O8. The X-ray powder pattern is simulated, not measured: it uses a cell relaxed with GGA+U and copper Kα.

The 10 most intense peaks (2θ = 10–90°), by angle:
d (Å)  intensity
3.696  9
2.752  100
2.491  7
2.247  12
1.949  24
1.590  26
1.587  15
1.378  7
1.375  8
1.232  10

Cell and atoms:
```
Ba2AlCr3O8
1.0
3.8971 0.0000 0.0000
0.0000 3.8971 0.0000
0.0000 0.0000 11.6466
Ba Al Cr O
2 1 3 8
Direct
0.0000 0.0000 0.1667 Ba
0.0000 0.0000 0.8333 Ba
0.0000 0.0000 0.5000 Al
0.5000 0.5000 0.0000 Cr
0.5000 0.5000 0.3529 Cr
0.5000 0.5000 0.6471 Cr
0.0000 0.5000 0.0000 O
0.0000 0.5000 0.3923 O
0.0000 0.5000 0.6077 O
0.5000 0.0000 0.0000 O
0.5000 0.0000 0.3923 O
0.5000 0.0000 0.6077 O
0.5000 0.5000 0.1885 O
0.5000 0.5000 0.8115 O
```